This entry pairs a crystal structure of CsBHO2 with its computed powder X-ray diffraction pattern. Radiation: Cu Kα (weighted mean of Kα1 and Kα2). Structure: a PBE-relaxed structure.
Neutral-atom scattering factors, no anomalous dispersion.

Atomic structure:
```
data_CsBHO2
_chemical_formula_sum 'Cs1 B1 H1 O2'
_cell_length_a 3.945
_cell_length_b 3.945
_cell_length_c 4.451
_cell_angle_alpha 90.00
_cell_angle_beta 90.00
_cell_angle_gamma 90.00
_space_group_name_H-M_alt 'P 4/m m m'
_space_group_IT_number 123
_space_group_name_Hall '-P 4 2'
loop_
_atom_site_label
_atom_site_fract_x
_atom_site_fract_y
_atom_site_fract_z
Cs1 0.000 0.000 0.000
B1 0.500 0.500 0.000
H1 0.000 0.000 0.500
O1 0.000 0.500 0.500
```

Top 10 peaks for 2θ from 10° to 80°, sorted by position:
d [Å]  Rel. int.  index
4.451  46  0 0 1
3.945  100  1 0 0
2.952  91  1 0 1
2.789  30  1 1 0
2.364  97  1 1 1
2.226  21  0 0 2
1.972  28  2 0 0
1.938  28  1 0 2
1.764  21  2 1 0
1.640  33  2 1 1